Record 1
Computed powder diffractogram
Compound: ScH6Pd2Rh
Radiation: copper Kα
Structure: a GGA-PBE-relaxed structure

Principal peaks in the range 2θ = 5–70°, low angle first:
d 4.401, I 48, (0 0 1)
d 3.324, I 36, (1 0 -1)
d 2.420, I 100, (1 2 1)
d 2.392, I 46, (2 1 0)
d 2.311, I 41, (0 1 -1)
d 2.296, I 41, (1 1 2)

Atomic structure:
Cell: 4.8140 4.8452 5.0857 Å, 61.64 84.55 60.50°
Space group P1 (No. 1)
Asymmetric unit:
Sc: 0.0000 0.0000 0.0000 x1
H: 0.0060 0.4446 0.0168 x1
H: 0.1434 0.3191 0.5124 x1
H: 0.4210 0.7474 0.5005 x1
H: 0.4704 0.5153 0.0467 x1
H: 0.5552 0.9747 0.0439 x1
H: 0.6875 0.0410 0.5444 x1
Pd: 0.0842 0.6597 0.6207 x1
Pd: 0.7345 0.4568 0.3594 x1
Rh: 0.3828 0.1818 0.2507 x1


Record 2
Computed powder diffractogram
Compound: SrH6PdRh
Radiation: copper Kα
Structure: a GGA-PBE-relaxed structure

Principal peaks in the range 2θ = 5–70°, low angle first:
d 4.192, I 25, (0 0 1)
d 3.067, I 41, (0 2 1)
d 2.993, I 100, (1 1 1)
d 2.553, I 70, (1 3 0)
d 2.430, I 29, (2 0 0)
d 1.620, I 34, (1 3 2)

Atomic structure:
Cell: 4.8590 9.0009 4.1918 Å, 90.00 90.02 90.00°
Space group C2 (No. 5)
Asymmetric unit:
Sr: 0.0000 0.0000 0.0000 x2
H: 0.2126 0.4916 0.5005 x4
H: 0.2303 0.2491 0.7408 x4
H: 0.2317 0.2503 0.2589 x4
Pd: 0.0000 0.6601 0.5000 x2
Rh: 0.0000 0.3393 0.5000 x2


Record 3
Computed powder diffractogram
Compound: HPdRu
Radiation: copper Kα
Structure: a GGA-PBE-relaxed structure

Principal peaks in the range 2θ = 5–70°, low angle first:
d 2.308, I 100, (1 0 2)
d 2.031, I 16, (0 0 4)
d 1.983, I 33, (1 1 0)
d 1.419, I 19, (1 1 4)
d 1.406, I 2, (1 0 5)
d 1.402, I 10, (2 0 0)

Atomic structure:
Cell: 2.8046 2.8046 8.1258 Å, 90.00 90.00 90.00°
Space group P4mm (No. 99)
Asymmetric unit:
H: 0.0000 0.0000 0.0000 x1
H: 0.0000 0.0000 0.4866 x1
Pd: 0.0000 0.0000 0.7070 x1
Pd: 0.5000 0.5000 0.9648 x1
Ru: 0.0000 0.0000 0.2263 x1
Ru: 0.5000 0.5000 0.4382 x1


Record 4
Computed powder diffractogram
Compound: HPdRu
Radiation: copper Kα
Structure: a GGA-PBE-relaxed structure

Principal peaks in the range 2θ = 5–70°, low angle first:
d 2.300, I 100, (1 0 2)
d 2.018, I 15, (0 0 4)
d 1.980, I 34, (1 1 0)
d 1.940, I 2, (1 0 3)
d 1.413, I 19, (1 1 4)
d 1.400, I 13, (2 0 0)

Atomic structure:
Cell: 2.7998 2.7998 8.0707 Å, 90.00 90.00 90.00°
Space group P4mm (No. 99)
Asymmetric unit:
H: 0.0000 0.0000 0.0000 x1
H: 0.5000 0.5000 0.2005 x1
Pd: 0.0000 0.0000 0.2471 x1
Pd: 0.5000 0.5000 0.5072 x1
Ru: 0.0000 0.0000 0.7452 x1
Ru: 0.5000 0.5000 0.9653 x1


Record 5
Computed powder diffractogram
Compound: ThH8PdRu2
Radiation: copper Kα
Structure: a GGA-PBE-relaxed structure

Principal peaks in the range 2θ = 5–70°, low angle first:
d 4.016, I 44, (1 0 0)
d 3.471, I 58, (0 1 1)
d 2.618, I 100, (1 0 2)
d 2.318, I 57, (1 1 0)
d 1.736, I 30, (0 2 2)
d 1.389, I 29, (2 1 2)

Atomic structure:
Cell: 4.6367 4.6367 6.9035 Å, 90.00 90.00 120.00°
Space group P-3m1 (No. 164)
Asymmetric unit:
Th: 0.0000 0.0000 0.0000 x1
H: 0.1318 0.2635 0.2915 x6
H: 0.3333 0.6667 0.0522 x2
Pd: 0.0000 0.0000 0.5000 x1
Ru: 0.3333 0.6667 0.2930 x2


Record 6
Computed powder diffractogram
Compound: H2Pd5S
Radiation: copper Kα
Structure: a GGA-PBE-relaxed structure

Principal peaks in the range 2θ = 5–70°, low angle first:
d 2.468, I 72, (1 2 0)
d 2.425, I 57, (1 2 -2)
d 2.383, I 100, (1 0 -6)
d 2.308, I 36, (2 0 -2)
d 2.269, I 63, (2 0 0)
d 2.116, I 34, (2 1 0)

Atomic structure:
Cell: 4.6391 5.8841 15.0926 Å, 90.00 102.09 90.00°
Space group P2_1/c (No. 14)
Asymmetric unit:
H: 0.1846 0.1131 0.3073 x4
H: 0.2425 0.7307 0.6962 x4
Pd: 0.0165 0.6989 0.7836 x4
Pd: 0.0908 0.2131 0.9057 x4
Pd: 0.3549 0.7268 0.4753 x4
Pd: 0.4373 0.5344 0.1420 x4
Pd: 0.4577 0.0137 0.1701 x4
S: 0.1597 0.2411 0.0655 x4


Record 7
Computed powder diffractogram
Compound: H3Pd6S
Radiation: copper Kα
Structure: a GGA-PBE-relaxed structure

Principal peaks in the range 2θ = 5–70°, low angle first:
d 2.488, I 44, (2 1 -1)
d 2.373, I 52, (1 0 -4)
d 2.363, I 63, (2 1 -2)
d 2.344, I 45, (3 0 1)
d 2.264, I 100, (1 1 2)
d 2.060, I 33, (4 0 -3)

Atomic structure:
Cell: 8.6882 3.0409 9.5393 Å, 90.00 111.67 90.00°
Space group P2_1/m (No. 11)
Asymmetric unit:
H: 0.0095 0.2500 0.1643 x2
H: 0.0584 0.2500 0.5893 x2
H: 0.3167 0.7500 0.4636 x2
Pd: 0.0693 0.2500 0.7788 x2
Pd: 0.1522 0.7500 0.0489 x2
Pd: 0.1608 0.7500 0.5584 x2
Pd: 0.2386 0.2500 0.3328 x2
Pd: 0.3715 0.7500 0.8822 x2
Pd: 0.4636 0.2500 0.6372 x2
S: 0.3863 0.2500 0.1583 x2


Record 8
Computed powder diffractogram
Compound: Sb2HPd8
Radiation: copper Kα
Structure: a GGA-PBE-relaxed structure

Principal peaks in the range 2θ = 5–70°, low angle first:
d 2.347, I 100, (1 5 -1)
d 2.326, I 87, (1 1 1)
d 2.217, I 30, (2 4 0)
d 2.103, I 38, (2 0 -2)
d 1.815, I 24, (2 6 0)
d 1.374, I 18, (0 6 2)

Atomic structure:
Cell: 7.0759 14.1410 4.2064 Å, 90.00 126.42 90.00°
Space group Cm (No. 8)
Asymmetric unit:
Sb: 0.0000 0.1847 0.0000 x4
H: 0.4978 0.0000 0.9381 x2
Pd: 0.0005 0.2986 0.5000 x4
Pd: 0.0004 0.5000 0.5027 x2
Pd: 0.0005 0.0000 0.9983 x2
Pd: 0.2503 0.1034 0.7507 x4
Pd: 0.2504 0.3967 0.2509 x4


Record 9
Computed powder diffractogram
Compound: SbH2Pd4
Radiation: copper Kα
Structure: a GGA-PBE-relaxed structure

Principal peaks in the range 2θ = 5–70°, low angle first:
d 2.655, I 35, (2 2 -1)
d 2.513, I 41, (3 1 -2)
d 2.365, I 45, (1 1 2)
d 2.350, I 39, (0 2 2)
d 2.286, I 75, (1 1 -3)
d 2.164, I 100, (1 3 -1)

Atomic structure:
Cell: 8.4311 6.8482 7.4778 Å, 90.00 120.24 90.00°
Space group C2 (No. 5)
Asymmetric unit:
Sb: 0.0000 0.0000 0.0000 x2
Sb: 0.0000 0.1507 0.5000 x2
H: 0.0595 0.5501 0.8167 x4
H: 0.1730 0.7466 0.6052 x4
Pd: 0.0108 0.8115 0.3176 x4
Pd: 0.0915 0.3375 0.2361 x4
Pd: 0.1832 0.4864 0.6656 x4
Pd: 0.2251 0.6344 0.0827 x4


Record 10
Computed powder diffractogram
Compound: SbHPd3
Radiation: copper Kα
Structure: a GGA-PBE-relaxed structure

Principal peaks in the range 2θ = 5–70°, low angle first:
d 2.584, I 37, (0 0 2)
d 2.425, I 75, (4 0 0)
d 2.349, I 45, (2 0 -2)
d 2.261, I 100, (2 4 -1)
d 2.218, I 47, (2 0 2)
d 2.200, I 83, (2 4 1)

Atomic structure:
Cell: 9.7233 11.4915 5.1799 Å, 90.00 93.95 90.00°
Space group C2/c (No. 15)
Asymmetric unit:
Sb: 0.1549 0.0827 0.0662 x8
H: 0.0000 0.3359 0.7500 x4
H: 0.0000 0.4145 0.2500 x4
Pd: 0.1149 0.1653 0.5627 x8
Pd: 0.1216 0.3116 0.0878 x8
Pd: 0.1237 0.4316 0.5833 x8


> Which formula does entry 4 have?

HPdRu